Entry 1:
This entry pairs a crystal structure of CeDy3Cd4 with its computed powder diffraction line list. Radiation: copper Kα. Structure: a structure optimized by DFT (GGA-PBE).
Neutral-atom scattering factors, no anomalous dispersion.

Most intense lines, 2θ from 15° to 90°, most intense first:
- 33.60°, I = 100.0, (1 1 2)
- 33.78°, I = 49.5, (2 0 0)
- 60.31°, I = 36.2, (3 1 2)
- 59.96°, I = 18.2, (2 0 4)
- 48.52°, I = 17.7, (2 2 0)
- 70.63°, I = 11.1, (2 2 4)
- 47.98°, I = 9.0, (0 0 4)
- 81.03°, I = 7.8, (4 2 0)
- 80.92°, I = 7.8, (3 3 2)
- 80.12°, I = 7.7, (1 1 6)

Cell and atoms:
```
data_CeDy3Cd4
_symmetry_space_group_name_H-M 'P 4/m m m'
_symmetry_Int_Tables_number 123
_symmetry_space_group_name_Hall '-P 4 2'
_cell_length_a 5.307
_cell_length_b 5.307
_cell_length_c 7.584
_cell_angle_alpha 90.00
_cell_angle_beta 90.00
_cell_angle_gamma 90.00
loop_
_atom_site_label
_atom_site_type_symbol
_atom_site_fract_x
_atom_site_fract_y
_atom_site_fract_z
_atom_site_occupancy
Ce1 Ce 0.000 0.000 0.000 1
Dy1 Dy 0.000 0.000 0.500 1
Dy2 Dy 0.500 0.500 0.000 1
Dy3 Dy 0.500 0.500 0.500 1
Cd1 Cd 0.000 0.500 0.258 1
```



Entry 2:
This entry pairs a crystal structure of Nd2Pd4Pt3 with its computed powder diffraction line list. Radiation: copper Kα. Structure: a structure optimized by DFT (GGA-PBE).
Neutral-atom scattering factors, no anomalous dispersion.

Most intense lines, 2θ from 15° to 90°, most intense first:
- 38.85°, I = 100.0, (1 3 3)
- 41.42°, I = 48.2, (2 2 2)
- 39.30°, I = 40.0, (0 0 6)
- 38.12°, I = 30.5, (1 1 5)
- 39.19°, I = 28.6, (2 2 0)
- 40.71°, I = 26.7, (0 4 2)
- 68.10°, I = 25.4, (2 2 8)
- 64.07°, I = 22.7, (3 3 3)
- 33.98°, I = 21.8, (2 0 0)
- 43.22°, I = 20.3, (2 0 4)

Cell and atoms:
```
data_Nd2Pd4Pt3
_symmetry_space_group_name_H-M 'F m m m'
_symmetry_Int_Tables_number 69
_symmetry_space_group_name_Hall '-F 2 2'
_cell_length_a 5.277
_cell_length_b 9.365
_cell_length_c 13.755
_cell_angle_alpha 90.00
_cell_angle_beta 90.00
_cell_angle_gamma 90.00
loop_
_atom_site_label
_atom_site_type_symbol
_atom_site_fract_x
_atom_site_fract_y
_atom_site_fract_z
_atom_site_occupancy
Nd1 Nd 0.000 0.000 0.135 1
Pd1 Pd 0.000 0.164 0.328 1
Pt1 Pt 0.000 0.000 0.500 1
Pt2 Pt 0.250 0.250 0.000 1
```



Entry 3:
This entry pairs a crystal structure of Ba3O2 with its computed powder diffraction line list. Radiation: copper Kα. Structure: a structure optimized by DFT (GGA-PBE).
Neutral-atom scattering factors, no anomalous dispersion.

Most intense lines, 2θ from 15° to 90°, most intense first:
- 26.14°, I = 100.0, (2 1 1)
- 26.80°, I = 53.0, (2 0 2)
- 24.60°, I = 46.5, (1 0 3)
- 41.69°, I = 31.1, (3 2 1)
- 43.84°, I = 25.2, (2 2 4)
- 21.52°, I = 21.7, (1 1 2)
- 53.81°, I = 20.8, (4 2 2)
- 45.72°, I = 19.1, (4 0 0)
- 45.09°, I = 18.1, (2 1 5)
- 29.29°, I = 17.9, (0 0 4)

Cell and atoms:
```
data_Ba3O2
_symmetry_space_group_name_H-M 'I 41 m d'
_symmetry_Int_Tables_number 109
_symmetry_space_group_name_Hall 'I 4bw -2'
_cell_length_a 7.938
_cell_length_b 7.938
_cell_length_c 12.198
_cell_angle_alpha 90.00
_cell_angle_beta 90.00
_cell_angle_gamma 90.00
loop_
_atom_site_label
_atom_site_type_symbol
_atom_site_fract_x
_atom_site_fract_y
_atom_site_fract_z
_atom_site_occupancy
Ba1 Ba 0.000 0.000 0.000 1
Ba2 Ba 0.000 0.267 0.562 1
O1 O 0.000 0.217 0.353 1
```